# 1
For TbNd2HoSe6, a crystal structure in Alexandria, relaxed with PBE gives the calculated powder diffractogram in this record (Cu Kα, 1.54184 Å).
Lines closer than 0.1° are merged.

Crystal structure
```
data_TbNd2HoSe6
_cell_length_a 7.3536
_cell_length_b 7.3536
_cell_length_c 19.5739
_cell_angle_alpha 90.00
_cell_angle_beta 90.00
_cell_angle_gamma 120.00
_space_group_name_H-M_alt 'R 3'
_space_group_IT_number 146
_space_group_name_Hall 'R 3'
loop_
_atom_site_label
_atom_site_fract_x
_atom_site_fract_y
_atom_site_fract_z
_atom_site_occupancy
Tb1 0.0000 0.0000 0.0000 1
Nd1 0.0000 0.0000 0.2988 1
Nd2 0.0000 0.0000 0.7992 1
Ho1 0.0000 0.0000 0.4995 1
Se1 0.0414 0.6866 0.5704 1
Se2 0.0424 0.3581 0.0709 1
```

The 10 most intense peaks (10° ≤ 2θ ≤ 80°), by angle:
(0 1 2), d 5.338, I = 444
(1 0 4), d 3.880, I = 629
(1 1 0), d 3.677, I = 421
(1 1 3), d 3.203, I = 645
(0 2 4), d 2.669, I = 465
(1 1 6), d 2.440, I = 1000
(2 1 4), d 2.160, I = 398
(3 0 0), d 2.123, I = 672
(1 0 10), d 1.871, I = 336
(4 -2 6), d 1.602, I = 249

---

# 2
For La5PmTh, a crystal structure in Alexandria, relaxed with PBE gives the calculated powder diffractogram in this record (Cu Kα, 1.54184 Å).
Lines closer than 0.1° are merged.

Crystal structure
```
data_La5PmTh
_cell_length_a 13.634
_cell_length_b 9.044
_cell_length_c 5.938
_cell_angle_alpha 90.00
_cell_angle_beta 115.75
_cell_angle_gamma 90.00
_space_group_name_H-M_alt 'C 1 2/m 1'
_space_group_IT_number 12
loop_
_space_group_symop_operation_xyz
'x,y,z'
'-x,-y,-z'
'-x,y,-z'
'x,-y,z'
'x+1/2,y+1/2,z'
'-x+1/2,-y+1/2,-z'
'-x+1/2,y+1/2,-z'
'x+1/2,-y+1/2,z'
loop_
_atom_site_label
_atom_site_fract_x
_atom_site_fract_y
_atom_site_fract_z
_atom_site_occupancy
La1 0.000 0.000 0.000 1
La2 0.000 0.318 0.500 1
La3 0.249 0.500 0.249 1
Pm1 0.000 0.000 0.500 1
Th1 0.000 0.500 0.000 1
```

The 10 most intense peaks (10° ≤ 2θ ≤ 80°), by angle:
(2 0 0), d 6.140, I = 1000
(1 1 -1), d 4.963, I = 742
(0 2 0), d 4.522, I = 702
(0 2 1), d 3.452, I = 627
(4 0 0), d 3.070, I = 829
(2 0 -2), d 2.969, I = 759
(1 3 -1), d 2.688, I = 618
(4 2 0), d 2.540, I = 322
(2 0 2), d 2.134, I = 601
(3 3 1), d 2.022, I = 545